For CaCu2O4, a DFT-relaxed cell (GGA-PBE, the Materials Project) gives the simulated PXRD pattern in this record (copper Kα).

Crystal structure
```
14
Lattice="0.0000 4.3866 4.3866 4.3866 0.0000 4.3866 4.3866 4.3866 0.0000" Properties=species:S:1:pos:R:3 pbc="T T T"
Ca 1.0967 1.0967 1.0967
Ca 7.6766 7.6766 7.6766
Cu 4.3866 2.1933 2.1933
Cu 2.1933 4.3866 2.1933
Cu 2.1933 2.1933 4.3866
Cu 4.3866 4.3866 4.3866
O 2.3612 2.3612 2.3612
O 4.2188 4.2188 2.3612
O 4.2188 2.3612 4.2188
O 6.4121 4.5545 4.5545
O 2.3612 4.2188 4.2188
O 4.5545 6.4121 4.5545
O 4.5545 4.5545 6.4121
O 6.4121 6.4121 6.4121
```

The 10 most intense peaks (10° ≤ 2θ ≤ 90°), in order of rising 2θ:
d = 5.065 Å, I = 50
d = 3.102 Å, I = 19
d = 2.645 Å, I = 100
d = 2.533 Å, I = 20
d = 2.193 Å, I = 38
d = 1.688 Å, I = 43
d = 1.551 Å, I = 49
d = 1.338 Å, I = 11
d = 1.323 Å, I = 12
d = 1.142 Å, I = 16